Entry 1:
Computed X-ray diffraction stick pattern of SrUO4 for copper Kα, from the GGA-PBE geometry in Alexandria.

Structural model:
Cell lengths 5.593, 8.030, 8.182 Å; angles 90.00, 90.00, 90.00 degrees
Space group Pbcm (No. 57)
Asymmetric unit:
Sr 0.019 0.197 0.250 x4
U 0.500 0.000 0.000 x4
O 0.198 0.580 0.579 x8
O 0.332 0.250 0.000 x4
O 0.366 0.534 0.250 x4

Largest 10 diffraction maxima, in order of rising 2θ, 15° ≤ 2θ ≤ 90°:
15.85°, intensity 39.4
21.72°, intensity 22.1
22.14°, intensity 26.0
27.00°, intensity 100.0
27.34°, intensity 88.6
31.21°, intensity 55.7
32.01°, intensity 26.3
45.31°, intensity 47.7
52.83°, intensity 31.1
53.41°, intensity 21.4

Entry 2:
Computed X-ray diffraction stick pattern of Sr5U5O18 for copper Kα, from the GGA-PBE geometry in Alexandria.

Structural model:
Cell lengths 6.983, 7.809, 8.772 Å; angles 100.80, 98.14, 107.44 degrees
Space group P-1 (No. 2)
Asymmetric unit:
Sr 0.000 0.000 0.000 x1
Sr 0.199 0.396 0.416 x2
Sr 0.401 0.802 0.807 x2
U 0.000 0.500 0.000 x1
U 0.208 0.920 0.412 x2
U 0.378 0.300 0.804 x2
O 0.012 0.732 0.180 x2
O 0.023 0.674 0.853 x2
O 0.140 0.148 0.585 x2
O 0.173 0.718 0.530 x2
O 0.248 0.107 0.282 x2
O 0.334 0.102 0.927 x2
O 0.336 0.557 0.009 x2
O 0.453 0.497 0.684 x2
O 0.494 0.887 0.350 x2

Largest 10 diffraction maxima, in order of rising 2θ, 15° ≤ 2θ ≤ 90°:
26.01°, intensity 49.1
27.20°, intensity 100.0
27.35°, intensity 97.8
27.55°, intensity 96.3
28.36°, intensity 90.9
31.94°, intensity 92.7
32.11°, intensity 46.1
44.91°, intensity 33.6
45.29°, intensity 32.4
54.45°, intensity 42.2

Entry 3:
Computed X-ray diffraction stick pattern of SrU2O6 for copper Kα, from the GGA-PBE geometry in Alexandria.

Structural model:
Cell lengths 5.9470, 5.9470, 5.0297 Å; angles 90.00, 90.00, 120.00 degrees
Space group P-31m (No. 162)
Asymmetric unit:
Sr 0.0000 0.0000 0.0000 x1
U 0.3333 0.6667 0.5000 x2
O 0.0000 0.3669 0.2887 x6

Largest 10 diffraction maxima, in order of rising 2θ, 15° ≤ 2θ ≤ 90°:
17.22°, intensity 25.2
17.63°, intensity 54.6
24.74°, intensity 100.0
30.05°, intensity 73.6
35.06°, intensity 53.8
39.31°, intensity 28.6
47.34°, intensity 60.0
50.26°, intensity 29.7
53.37°, intensity 23.7
65.87°, intensity 16.2

Entry 4:
Computed X-ray diffraction stick pattern of SrU2O8 for copper Kα, from the GGA-PBE geometry in Alexandria.

Structural model:
Cell lengths 6.631, 10.869, 4.084 Å; angles 90.00, 90.00, 90.00 degrees
Space group Cmmm (No. 65)
Asymmetric unit:
Sr 0.000 0.000 0.000 x2
U 0.000 0.311 0.500 x4
O 0.000 0.265 0.000 x4
O 0.000 0.500 0.173 x4
O 0.199 0.137 0.500 x8

Largest 10 diffraction maxima, in order of rising 2θ, 15° ≤ 2θ ≤ 90°:
16.31°, intensity 38.7
21.76°, intensity 47.8
26.90°, intensity 100.0
27.32°, intensity 63.5
28.07°, intensity 73.8
35.79°, intensity 37.2
38.71°, intensity 47.0
48.23°, intensity 22.4
49.45°, intensity 38.1
53.32°, intensity 32.1

Entry 5:
Computed X-ray diffraction stick pattern of Sr4U6O19 for copper Kα, from the GGA-PBE geometry in Alexandria.

Structural model:
Cell lengths 10.081, 10.081, 10.081 Å; angles 90.00, 90.00, 90.00 degrees
Space group I23 (No. 197)
Asymmetric unit:
Sr 0.141 0.141 0.141 x8
U 0.000 0.172 0.500 x12
O 0.000 0.000 0.000 x2
O 0.000 0.000 0.368 x12
O 0.022 0.290 0.322 x24

Largest 10 diffraction maxima, in order of rising 2θ, 15° ≤ 2θ ≤ 90°:
17.59°, intensity 37.5
21.59°, intensity 23.9
27.99°, intensity 100.0
30.72°, intensity 17.6
33.25°, intensity 80.0
44.00°, intensity 18.9
45.90°, intensity 49.4
54.62°, intensity 25.5
56.25°, intensity 26.6
62.48°, intensity 19.8